Simulated powder diffractogram of BaBi3Rh3 for a wavelength of 1.5418 Å, from DFT lattice parameters and positions (PBE).

Most intense lines, 5 to 70 degrees two-theta, most intense first:
29.2 deg, I 100
45.4 deg, I 60
41.8 deg, I 42
23.8 deg, I 42
48.7 deg, I 36
16.8 deg, I 31
26.6 deg, I 25
68.7 deg, I 18

Atomic structure:
abc: 7.481 7.481 7.481
angles: 90.00 90.00 90.00
Fractional coordinates of all 14 atoms:
1 Ba 0.000 0.000 0.000
2 Ba 0.500 0.500 0.500
3 Bi 0.000 0.250 0.500
4 Bi 0.000 0.750 0.500
5 Bi 0.250 0.500 0.000
6 Bi 0.500 0.000 0.250
7 Bi 0.500 0.000 0.750
8 Bi 0.750 0.500 0.000
9 Rh 0.000 0.500 0.250
10 Rh 0.000 0.500 0.750
11 Rh 0.250 0.000 0.500
12 Rh 0.500 0.250 0.000
13 Rh 0.500 0.750 0.000
14 Rh 0.750 0.000 0.500


Simulated powder diffractogram of Ba8BiRh2 for a wavelength of 1.5418 Å, from DFT lattice parameters and positions (PBE).

Most intense lines, 5 to 70 degrees two-theta, most intense first:
27.1 deg, I 100
26.3 deg, I 82
11.3 deg, I 80
28.0 deg, I 75
28.0 deg, I 68
36.6 deg, I 57
22.1 deg, I 56
28.6 deg, I 54

Atomic structure:
abc: 8.349 8.560 8.563
angles: 75.21 73.85 73.74
Fractional coordinates of all 11 atoms:
1 Ba 0.221 0.327 0.341
2 Ba 0.247 0.274 0.855
3 Ba 0.248 0.845 0.262
4 Ba 0.275 0.793 0.773
5 Ba 0.725 0.207 0.227
6 Ba 0.752 0.155 0.738
7 Ba 0.753 0.726 0.145
8 Ba 0.779 0.673 0.659
9 Bi 0.500 0.500 0.500
10 Rh 0.476 0.099 0.110
11 Rh 0.524 0.901 0.890


Simulated powder diffractogram of BaBi2SbRh2 for a wavelength of 1.5418 Å, from DFT lattice parameters and positions (PBE).

Most intense lines, 5 to 70 degrees two-theta, most intense first:
31.7 deg, I 100
35.8 deg, I 63
48.6 deg, I 62
25.1 deg, I 42
13.0 deg, I 26
51.6 deg, I 22
36.5 deg, I 21
66.2 deg, I 21

Atomic structure:
abc: 5.011 5.011 6.833
angles: 90.00 90.00 90.00
Fractional coordinates of all 6 atoms:
1 Ba 0.000 0.000 0.000
2 Bi 0.500 0.500 0.260
3 Bi 0.500 0.500 0.740
4 Sb 0.000 0.000 0.500
5 Rh 0.000 0.500 0.500
6 Rh 0.500 0.000 0.500


Simulated powder diffractogram of Ba3BiS5 for a wavelength of 1.5418 Å, from DFT lattice parameters and positions (PBE).

Most intense lines, 5 to 70 degrees two-theta, most intense first:
23.9 deg, I 100
29.3 deg, I 68
23.2 deg, I 45
29.7 deg, I 37
31.4 deg, I 34
44.2 deg, I 31
41.3 deg, I 31
38.0 deg, I 29

Atomic structure:
abc: 9.737 9.737 9.737
angles: 128.16 128.16 76.36
Fractional coordinates of all 18 atoms:
1 Ba 0.158 0.658 0.816
2 Ba 0.250 0.250 0.000
3 Ba 0.342 0.158 0.500
4 Ba 0.658 0.842 0.500
5 Ba 0.750 0.750 0.000
6 Ba 0.842 0.342 0.184
7 Bi 0.250 0.750 0.500
8 Bi 0.750 0.250 0.500
9 S 0.000 0.000 0.000
10 S 0.021 0.195 0.500
11 S 0.195 0.695 0.174
12 S 0.305 0.479 0.500
13 S 0.479 0.979 0.174
14 S 0.500 0.500 0.000
15 S 0.521 0.021 0.826
16 S 0.695 0.521 0.500
17 S 0.805 0.305 0.826
18 S 0.979 0.805 0.500


Simulated powder diffractogram of BaBiSb2 for a wavelength of 1.5418 Å, from DFT lattice parameters and positions (PBE).

Most intense lines, 5 to 70 degrees two-theta, most intense first:
26.4 deg, I 100
36.2 deg, I 48
29.3 deg, I 39
33.7 deg, I 34
26.5 deg, I 29
33.9 deg, I 28
25.5 deg, I 22
47.4 deg, I 21

Atomic structure:
abc: 7.012 7.042 12.643
angles: 90.00 105.61 90.00
Fractional coordinates of all 16 atoms:
1 Ba 0.000 0.082 0.000
2 Ba 0.000 0.918 0.500
3 Ba 0.500 0.418 0.500
4 Ba 0.500 0.582 0.000
5 Bi 0.056 0.422 0.711
6 Bi 0.056 0.578 0.211
7 Bi 0.556 0.078 0.211
8 Bi 0.556 0.922 0.711
9 Sb 0.169 0.151 0.284
10 Sb 0.169 0.849 0.784
11 Sb 0.483 0.082 0.965
12 Sb 0.483 0.918 0.465
13 Sb 0.669 0.349 0.784
14 Sb 0.669 0.651 0.284
15 Sb 0.983 0.418 0.465
16 Sb 0.983 0.582 0.965